Entry 1:
Diffraction record for CaCu2SiSe4. The X-ray diffraction stick pattern is computed, not measured: it uses DFT lattice parameters and positions (PBE) and Cu Kα.
Kinematic intensities with the Lorentz-polarization factor, no thermal factor.

Most intense lines, 10° ≤ 2θ ≤ 90°, low angle first:
two_theta, Rel. int.
17.6, 74
27.1, 1000
33.8, 132
41.5, 291
46.7, 400
50.3, 264
59.1, 93
60.1, 67
74.8, 58
79.3, 56

Structural model:
abc: 8.694 8.712 10.051
angles: 90.00 90.00 90.00
Space group Fmm2 (No. 42)
Asymmetric unit:
Ca: 0.000 0.000 0.000 (multiplicity 4)
Cu: 0.250 0.250 0.248 (multiplicity 8)
Si: 0.000 0.000 0.498 (multiplicity 4)
Se: 0.000 0.211 0.637 (multiplicity 8)
Se: 0.212 0.000 0.360 (multiplicity 8)

***

Entry 2:
Diffraction record for Ca3Sm3CuSe8. The X-ray diffraction stick pattern is computed, not measured: it uses DFT lattice parameters and positions (PBE) and Cu Kα.
Kinematic intensities with the Lorentz-polarization factor, no thermal factor.

Most intense lines, 10° ≤ 2θ ≤ 90°, low angle first:
two_theta, Rel. int.
12.9, 278
25.2, 141
30.4, 1000
43.3, 365
43.7, 362
54.1, 188
63.2, 115
71.5, 155
72.0, 156
79.9, 115

Structural model:
abc: 14.360 8.296 8.356
angles: 90.00 124.96 90.00
Space group C2/m (No. 12)
Asymmetric unit:
Ca: 0.000 0.000 0.000 (multiplicity 2)
Ca: 0.250 0.250 0.000 (multiplicity 4)
Sm: 0.000 0.500 0.500 (multiplicity 2)
Sm: 0.250 0.250 0.500 (multiplicity 4)
Cu: 0.000 0.000 0.500 (multiplicity 2)
Se: 0.002 0.242 0.265 (multiplicity 8)
Se: 0.239 0.000 0.734 (multiplicity 4)
Se: 0.250 0.000 0.251 (multiplicity 4)

***

Entry 3:
Diffraction record for CaUCuSe4. The X-ray diffraction stick pattern is computed, not measured: it uses DFT lattice parameters and positions (PBE) and Cu Kα.
Kinematic intensities with the Lorentz-polarization factor, no thermal factor.

Most intense lines, 10° ≤ 2θ ≤ 90°, low angle first:
two_theta, Rel. int.
11.1, 1000
21.1, 275
29.2, 843
30.8, 270
33.1, 804
33.6, 382
38.3, 510
41.1, 283
42.9, 533
43.2, 350

Structural model:
abc: 7.040 5.810 8.384
angles: 90.00 107.38 90.00
Space group P2_1/m (No. 11)
Asymmetric unit:
Ca: 0.232 0.250 0.437 (multiplicity 2)
U: 0.234 0.250 0.938 (multiplicity 2)
Cu: 0.243 0.750 0.184 (multiplicity 2)
Se: 0.062 0.750 0.380 (multiplicity 2)
Se: 0.071 0.750 0.895 (multiplicity 2)
Se: 0.479 0.510 0.761 (multiplicity 4)

***

Entry 4:
Diffraction record for Ca2Cu5Si4. The X-ray diffraction stick pattern is computed, not measured: it uses DFT lattice parameters and positions (PBE) and Cu Kα.
Kinematic intensities with the Lorentz-polarization factor, no thermal factor.

Most intense lines, 10° ≤ 2θ ≤ 90°, low angle first:
two_theta, Rel. int.
19.0, 366
19.7, 283
32.0, 654
37.9, 1000
38.4, 606
38.6, 383
41.7, 697
46.2, 584
46.8, 450
66.4, 284

Structural model:
abc: 5.514 9.330 13.992
angles: 90.00 90.00 90.00
Space group Fmmm (No. 69)
Asymmetric unit:
Ca: 0.000 0.000 0.144 (multiplicity 8)
Cu: 0.000 0.000 0.500 (multiplicity 4)
Cu: 0.250 0.250 0.000 (multiplicity 8)
Cu: 0.250 0.250 0.250 (multiplicity 8)
Si: 0.000 0.141 0.365 (multiplicity 16)

***

Entry 5:
Diffraction record for CaCuSi. The X-ray diffraction stick pattern is computed, not measured: it uses DFT lattice parameters and positions (PBE) and Cu Kα.
Kinematic intensities with the Lorentz-polarization factor, no thermal factor.

Most intense lines, 10° ≤ 2θ ≤ 90°, low angle first:
two_theta, Rel. int.
17.4, 124
29.5, 162
34.6, 396
35.2, 1000
40.3, 321
42.2, 346
42.4, 527
56.1, 139
59.8, 186
68.3, 202

Structural model:
abc: 4.281 21.137 7.366
angles: 90.00 90.00 90.00
Space group Imm2 (No. 44)
Asymmetric unit:
Ca: 0.000 0.000 0.000 (multiplicity 2)
Ca: 0.000 0.166 0.901 (multiplicity 4)
Ca: 0.000 0.332 0.997 (multiplicity 4)
Ca: 0.000 0.500 0.897 (multiplicity 2)
Cu: 0.000 0.068 0.612 (multiplicity 4)
Cu: 0.000 0.227 0.278 (multiplicity 4)
Cu: 0.000 0.394 0.618 (multiplicity 4)
Si: 0.000 0.102 0.287 (multiplicity 4)
Si: 0.000 0.269 0.609 (multiplicity 4)
Si: 0.000 0.440 0.283 (multiplicity 4)

***

Entry 6:
Diffraction record for Ca2Cu7Si. The X-ray diffraction stick pattern is computed, not measured: it uses DFT lattice parameters and positions (PBE) and Cu Kα.
Kinematic intensities with the Lorentz-polarization factor, no thermal factor.

Most intense lines, 10° ≤ 2θ ≤ 90°, low angle first:
two_theta, Rel. int.
23.9, 384
34.3, 602
36.2, 1000
45.4, 747
47.6, 656
49.4, 336
58.1, 235
66.2, 221
69.4, 221
85.5, 213

Structural model:
abc: 3.992 3.992 10.399
angles: 90.00 90.00 90.00
Space group P-4m2 (No. 115)
Asymmetric unit:
Ca: 0.000 0.500 0.249 (multiplicity 2)
Cu: 0.000 0.000 0.000 (multiplicity 1)
Cu: 0.000 0.000 0.500 (multiplicity 1)
Cu: 0.000 0.500 0.637 (multiplicity 2)
Cu: 0.000 0.500 0.871 (multiplicity 2)
Cu: 0.500 0.500 0.500 (multiplicity 1)
Si: 0.500 0.500 0.000 (multiplicity 1)

***

Entry 7:
Diffraction record for CaCu12Si7. The X-ray diffraction stick pattern is computed, not measured: it uses DFT lattice parameters and positions (PBE) and Cu Kα.
Kinematic intensities with the Lorentz-polarization factor, no thermal factor.

Most intense lines, 10° ≤ 2θ ≤ 90°, low angle first:
two_theta, Rel. int.
33.3, 1000
36.4, 410
39.3, 442
41.9, 748
43.6, 552
43.7, 605
44.5, 473
47.0, 592
63.4, 229
68.0, 239

Structural model:
abc: 12.4206 12.4206 6.2334
angles: 90.00 90.00 120.00
Space group R-3m (No. 166, hexagonal axes)
Asymmetric unit:
Ca: 0.0000 0.0000 0.0000 (multiplicity 3)
Cu: 0.0000 0.2605 0.0000 (multiplicity 18)
Cu: 0.1099 0.2199 0.3146 (multiplicity 18)
Si: 0.0000 0.0000 0.5000 (multiplicity 3)
Si: 0.0998 0.5499 0.3716 (multiplicity 18)

***

Entry 8:
Diffraction record for Ca3CuSi2. The X-ray diffraction stick pattern is computed, not measured: it uses DFT lattice parameters and positions (PBE) and Cu Kα.
Kinematic intensities with the Lorentz-polarization factor, no thermal factor.

Most intense lines, 10° ≤ 2θ ≤ 90°, low angle first:
two_theta, Rel. int.
10.4, 544
16.2, 533
16.6, 322
30.6, 343
31.2, 1000
35.0, 888
38.4, 391
39.7, 335
39.9, 501
45.1, 439

Structural model:
abc: 11.873 4.016 12.292
angles: 90.00 90.00 90.00
Space group Pnma (No. 62)
Asymmetric unit:
Ca: 0.056 0.250 0.124 (multiplicity 4)
Ca: 0.117 0.750 0.555 (multiplicity 4)
Ca: 0.205 0.250 0.799 (multiplicity 4)
Cu: 0.132 0.250 0.372 (multiplicity 4)
Si: 0.032 0.750 0.316 (multiplicity 4)
Si: 0.197 0.750 0.984 (multiplicity 4)